Calculated XRD peak list of BaGa3NiPd for Cu Kα, 1.54184 Å, from a cell relaxed with GGA-PBE.
Intensities are scaled so that the largest is 100.

Largest 10 diffraction maxima, by intensity, 10 to 90 degrees two-theta:
2θ 37.8, d = 2.383 Å, rel. 100, hkl 2 0 2; 2θ 30.4, d = 2.941 Å, rel. 81, hkl 0 4 0; 2θ 29.5, d = 3.027 Å, rel. 62, hkl 1 3 1; 2θ 49.2, d = 1.851 Å, rel. 48, hkl 2 4 2; 2θ 54.0, d = 1.699 Å, rel. 40, hkl 0 0 4; 2θ 30.8, d = 2.903 Å, rel. 29, hkl 2 2 0; 2θ 26.2, d = 3.401 Å, rel. 26, hkl 0 0 2; 2θ 26.7, d = 3.339 Å, rel. 25, hkl 2 0 0; 2θ 80.7, d = 1.191 Å, rel. 23, hkl 4 0 4; 2θ 54.3, d = 1.690 Å, rel. 22, hkl 2 6 0

a b c (Å): 6.6782 11.7581 6.8022
angles (deg): 90.00 90.00 90.00
Space group Cmcm (No. 63)
Inequivalent atoms, fractional coordinates:
Ba 0.0000 0.2451 0.2500 (multiplicity 4)
Ga 0.0000 0.2646 0.7500 (multiplicity 4)
Ga 0.2375 0.5000 0.0000 (multiplicity 8)
Ni 0.0000 0.4547 0.7500 (multiplicity 4)
Pd 0.0000 0.0606 0.7500 (multiplicity 4)